No. 1
The following is a computed X-ray diffraction stick pattern of AcU2Se4. It was derived from a DFT-relaxed cell (GGA-PBE, Alexandria), using Cu Kα, 1.54184 Å.
Neutral-atom scattering factors, no anomalous dispersion.

Structural model:
Lattice parameters (Å, degrees): 4.2146 13.2765 14.0520 90.00 90.00 90.00
Space group Cmcm (No. 63)
Symmetry-distinct sites (fractional):
Ac: 0.0000 0.1146 0.2500 (multiplicity 4)
U: 0.0000 0.3672 0.0590 (multiplicity 8)
Se: 0.0000 0.0000 0.0000 (multiplicity 4)
Se: 0.0000 0.2680 0.6234 (multiplicity 8)
Se: 0.0000 0.4423 0.2500 (multiplicity 4)

Main lines, sorted by position (10° ≤ 2θ ≤ 90°):
d 3.827, 2θ 23.24, rel. 100; d 3.487, 2θ 25.54, rel. 30; d 2.982, 2θ 29.96, rel. 77; d 2.799, 2θ 31.97, rel. 80; d 2.303, 2θ 39.12, rel. 68; d 2.140, 2θ 42.23, rel. 27; d 2.108, 2θ 42.91, rel. 41; d 2.025, 2θ 44.75, rel. 26; d 2.001, 2θ 45.33, rel. 32; d 1.846, 2θ 49.37, rel. 28

---

No. 2
The following is a computed X-ray diffraction stick pattern of TeWCl3. It was derived from a DFT-relaxed cell (GGA-PBE, Alexandria), using Cu Kα, 1.54184 Å.
Neutral-atom scattering factors, no anomalous dispersion.

Structural model:
Lattice parameters (Å, degrees): 5.2905 7.6252 9.3186 88.57 90.00 89.95
Space group P1 (No. 1)
Symmetry-distinct sites (fractional):
Te: 0.0000 0.0000 0.0000 (multiplicity 1)
Te: 0.4999 0.1465 0.9843 (multiplicity 1)
W: 0.2815 0.5678 0.4951 (multiplicity 1)
W: 0.7188 0.5678 0.4952 (multiplicity 1)
Cl: 0.0004 0.3830 0.3492 (multiplicity 1)
Cl: 0.0002 0.5028 0.7025 (multiplicity 1)
Cl: 0.9998 0.8187 0.4342 (multiplicity 1)
Cl: 0.5001 0.6393 0.2669 (multiplicity 1)
Cl: 0.4999 0.7709 0.6562 (multiplicity 1)
Cl: 0.5005 0.2916 0.5621 (multiplicity 1)

Main lines, sorted by position (10° ≤ 2θ ≤ 90°):
d 7.623, 2θ 11.61, rel. 23; d 5.973, 2θ 14.83, rel. 100; d 5.829, 2θ 15.20, rel. 90; d 4.658, 2θ 19.05, rel. 48; d 3.811, 2θ 23.34, rel. 17; d 2.901, 2θ 30.82, rel. 14; d 2.544, 2θ 35.28, rel. 17; d 2.211, 2θ 40.81, rel. 27; d 2.195, 2θ 41.13, rel. 16; d 2.013, 2θ 45.05, rel. 20

---

No. 3
The following is a computed X-ray diffraction stick pattern of CeMgTaN3. It was derived from a DFT-relaxed cell (GGA-PBE, Alexandria), using Cu Kα, 1.54184 Å.
Neutral-atom scattering factors, no anomalous dispersion.

Structural model:
Lattice parameters (Å, degrees): 5.7646 3.3265 8.4760 90.00 107.43 90.00
Space group P2_1/m (No. 11)
Symmetry-distinct sites (fractional):
Ce: 0.1743 0.2500 0.1955 (multiplicity 2)
Mg: 0.2741 0.7500 0.5410 (multiplicity 2)
Ta: 0.3443 0.2500 0.8535 (multiplicity 2)
N: 0.0258 0.2500 0.6767 (multiplicity 2)
N: 0.2520 0.7500 0.9806 (multiplicity 2)
N: 0.4888 0.7500 0.3348 (multiplicity 2)

Main lines, sorted by position (10° ≤ 2θ ≤ 90°):
d 8.087, 2θ 10.94, rel. 100; d 4.043, 2θ 21.98, rel. 23; d 2.846, 2θ 31.43, rel. 57; d 2.696, 2θ 33.24, rel. 31; d 2.677, 2θ 33.47, rel. 31; d 2.564, 2θ 35.00, rel. 66; d 2.519, 2θ 35.65, rel. 71; d 2.394, 2θ 37.57, rel. 30; d 2.129, 2θ 42.46, rel. 27; d 1.648, 2θ 55.79, rel. 18

---

No. 4
The following is a computed X-ray diffraction stick pattern of Cs5BeI8. It was derived from a DFT-relaxed cell (GGA-PBE, Alexandria), using Cu Kα, 1.54184 Å.
Neutral-atom scattering factors, no anomalous dispersion.

Structural model:
Lattice parameters (Å, degrees): 11.0817 11.0817 13.7397 90.00 90.00 90.00
Space group I-4 (No. 82)
Symmetry-distinct sites (fractional):
Cs: 0.0000 0.0000 0.0000 (multiplicity 2)
Cs: 0.1370 0.2843 0.6118 (multiplicity 8)
Be: 0.0000 0.5000 0.2500 (multiplicity 2)
I: 0.0244 0.3145 0.3415 (multiplicity 8)
I: 0.1214 0.2918 0.8944 (multiplicity 8)

Main lines, sorted by position (10° ≤ 2θ ≤ 90°):
d 4.662, 2θ 19.04, rel. 56; d 4.313, 2θ 20.59, rel. 32; d 4.233, 2θ 20.99, rel. 42; d 3.504, 2θ 25.42, rel. 100; d 3.435, 2θ 25.94, rel. 36; d 3.364, 2θ 26.50, rel. 39; d 2.999, 2θ 29.79, rel. 56; d 2.875, 2θ 31.11, rel. 48; d 2.552, 2θ 35.16, rel. 40; d 2.453, 2θ 36.63, rel. 45

---

Repeat the fourth record exactly.
The following is a computed X-ray diffraction stick pattern of Cs5BeI8. It was derived from a DFT-relaxed cell (GGA-PBE, Alexandria), using Cu Kα, 1.54184 Å.
Neutral-atom scattering factors, no anomalous dispersion.

Structural model:
Lattice parameters (Å, degrees): 11.0817 11.0817 13.7397 90.00 90.00 90.00
Space group I-4 (No. 82)
Symmetry-distinct sites (fractional):
Cs: 0.0000 0.0000 0.0000 (multiplicity 2)
Cs: 0.1370 0.2843 0.6118 (multiplicity 8)
Be: 0.0000 0.5000 0.2500 (multiplicity 2)
I: 0.0244 0.3145 0.3415 (multiplicity 8)
I: 0.1214 0.2918 0.8944 (multiplicity 8)

Main lines, sorted by position (10° ≤ 2θ ≤ 90°):
d 4.662, 2θ 19.04, rel. 56; d 4.313, 2θ 20.59, rel. 32; d 4.233, 2θ 20.99, rel. 42; d 3.504, 2θ 25.42, rel. 100; d 3.435, 2θ 25.94, rel. 36; d 3.364, 2θ 26.50, rel. 39; d 2.999, 2θ 29.79, rel. 56; d 2.875, 2θ 31.11, rel. 48; d 2.552, 2θ 35.16, rel. 40; d 2.453, 2θ 36.63, rel. 45